Calculated X-ray diffraction stick pattern
Compound: La4Pr2HoEr
Radiation: λ = 1.5418 Å (Cu Kα)
Structure: DFT lattice parameters and positions (GGA-PBE)
Neutral-atom scattering factors, no anomalous dispersion.

```
data_La4Pr2HoEr
_chemical_formula_sum 'La4 Pr2 Ho1 Er1'
_cell_length_a 5.2168
_cell_length_b 5.2537
_cell_length_c 10.2676
_cell_angle_alpha 90.00
_cell_angle_beta 90.07
_cell_angle_gamma 90.00
_symmetry_space_group_name_H-M 'P 1 2/m 1'
_symmetry_Int_Tables_number 10
loop_
_symmetry_equiv_pos_as_xyz
'x,y,z'
'-x,-y,-z'
'-x,y,-z'
'x,-y,z'
loop_
_atom_site_label
_atom_site_type_symbol
_atom_site_fract_x
_atom_site_fract_y
_atom_site_fract_z
_atom_site_occupancy
La1 La 0.9997 0.0000 0.2493 1
La2 La 0.5004 0.5000 0.2499 1
Pr1 Pr 0.0000 0.5000 0.0000 1
Pr2 Pr 0.5000 0.0000 0.5000 1
Ho1 Ho 0.0000 0.5000 0.5000 1
Er1 Er 0.5000 0.0000 0.0000 1
```

Most intense lines, 2θ = 10–80°, low angle first:
index  2θ/deg  d_spacing  I (rel.)
1 1 2  29.75  3.003  100
0 2 0  34.13  2.627  17
2 0 0  34.38  2.608  17
0 0 4  34.95  2.567  16
1 3 2  58.42  1.580  15
3 1 2  58.75  1.572  15
1 1 6  59.51  1.553  14
2 2 4  61.79  1.501  12